# Hg3Ru
Simulated X-ray diffraction stick pattern, Cu Kα. Input: a crystal structure in Alexandria, relaxed with PBE.
Lines closer than 0.1° are merged.

Peak list (8 most intense, 10° ≤ 2θ ≤ 90°, by angle)
2θ (°), d [Å], I (rel.), (hkl)
26.3, 3.384, 13, 0 0 9
35.4, 2.538, 27, 0 0 12
35.8, 2.507, 100, 1 0 4
41.5, 2.178, 61, 0 1 8
59.8, 1.547, 14, 1 0 16
60.4, 1.533, 23, 1 1 0
72.0, 1.312, 21, 1 1 12
72.2, 1.308, 13, 0 2 4

Structure:
```
data_Hg3Ru
_cell_length_a 3.0656
_cell_length_b 3.0656
_cell_length_c 30.4598
_cell_angle_alpha 90.00
_cell_angle_beta 90.00
_cell_angle_gamma 120.00
_space_group_name_H-M_alt 'R -3 m'
_space_group_IT_number 166
_space_group_name_Hall '-R 3 2"'
loop_
_atom_site_label
_atom_site_type_symbol
_atom_site_fract_x
_atom_site_fract_y
_atom_site_fract_z
_atom_site_occupancy
Hg1 Hg 0.0000 0.0000 0.0000 1
Hg2 Hg 0.0000 0.0000 0.2409 1
Ru1 Ru 0.0000 0.0000 0.5000 1
```